(1)
For CaTmBr, DFT lattice parameters and positions (GGA-PBE) gives the computed powder X-ray diffraction pattern in this record (Cu Kα (λ = 1.5418 Å)).
Peak positions follow from Bragg's law for the DFT cell and can differ from measured ones.

Structure:
```
CaTmBr
1.0
15.1650 0.0000 0.0000
0.0000 3.7277 0.0000
0.0000 0.0000 6.4573
Ca Tm Br
4 4 4
direct
0.0000 0.0000 0.0000
0.0000 0.5000 0.5000
0.5000 0.0000 0.0016
0.5000 0.5000 0.5016
0.1928 0.0000 0.3334
0.1928 0.5000 0.8334
0.8072 0.0000 0.3334
0.8072 0.5000 0.8334
0.3337 0.0000 0.6668
0.3337 0.5000 0.1668
0.6663 0.0000 0.6668
0.6663 0.5000 0.1668
```

Top 10 peaks for 10 to 80 degrees two-theta, sorted by position:
Position (°2θ)  I/Imax
11.67  69
27.63  23
28.26  28
30.08  67
32.92  100
40.82  48
48.86  34
56.28  17
60.18  18
61.85  18

=====

(2)
For CaW2Br, DFT lattice parameters and positions (GGA-PBE) gives the computed powder X-ray diffraction pattern in this record (Cu Kα (λ = 1.5418 Å)).
Peak positions follow from Bragg's law for the DFT cell and can differ from measured ones.

Structure:
```
CaW2Br
1.0
3.2801 0.0000 0.0000
0.0000 3.4097 0.0000
0.0000 0.0000 15.7921
Ca W Br
2 4 2
direct
0.0000 0.0000 0.0000
0.0000 0.5000 0.5000
0.0000 0.0000 0.7847
0.0000 0.5000 0.2847
0.5000 0.0000 0.3557
0.5000 0.5000 0.8557
0.5000 0.0000 0.6288
0.5000 0.5000 0.1288
```

Top 10 peaks for 10 to 80 degrees two-theta, sorted by position:
Position (°2θ)  I/Imax
11.21  100
22.52  20
31.26  18
35.58  39
38.51  50
38.87  23
41.89  31
48.38  16
65.61  10
66.15  13

=====

(3)
For CaZrBr2, DFT lattice parameters and positions (GGA-PBE) gives the computed powder X-ray diffraction pattern in this record (Cu Kα (λ = 1.5418 Å)).
Peak positions follow from Bragg's law for the DFT cell and can differ from measured ones.

Structure:
```
CaZrBr2
1.0
5.4344 0.0000 0.0000
0.0000 3.5572 0.0000
0.0000 0.0000 10.5492
Ca Zr Br
2 2 4
direct
0.0000 0.0000 0.0000
0.0000 0.5000 0.5000
0.5000 0.0000 0.6564
0.5000 0.5000 0.1564
0.0000 0.0000 0.7214
0.0000 0.5000 0.2214
0.5000 0.0000 0.3694
0.5000 0.5000 0.8694
```

Top 10 peaks for 10 to 80 degrees two-theta, sorted by position:
Position (°2θ)  I/Imax
16.81  33
26.44  53
31.23  97
32.96  84
35.91  100
37.92  79
42.74  29
49.54  77
65.60  30
69.97  34

=====

(4)
For Cd3Br, DFT lattice parameters and positions (GGA-PBE) gives the computed powder X-ray diffraction pattern in this record (Cu Kα (λ = 1.5418 Å)).
Peak positions follow from Bragg's law for the DFT cell and can differ from measured ones.

Structure:
```
Cd3Br
1.0
3.9147 0.0000 0.0000
0.0000 6.2419 0.0000
0.0000 0.0000 9.1610
Cd Br
6 2
direct
0.0000 0.0000 0.0000
0.0000 0.5000 0.2574
0.0000 0.5000 0.7426
0.5000 0.0000 0.2426
0.5000 0.0000 0.7574
0.5000 0.5000 0.5000
0.0000 0.0000 0.5000
0.5000 0.5000 0.0000
```

Top 10 peaks for 10 to 80 degrees two-theta, sorted by position:
Position (°2θ)  I/Imax
28.60  38
33.36  100
39.34  16
46.39  10
49.36  16
53.76  25
55.41  11
67.54  12
70.06  11
77.60  8

=====

Question: Which formula does entry 1 have?
Answer: CaTmBr

=====

Repeat the third record exactly.
For CaZrBr2, DFT lattice parameters and positions (GGA-PBE) gives the computed powder X-ray diffraction pattern in this record (Cu Kα (λ = 1.5418 Å)).
Peak positions follow from Bragg's law for the DFT cell and can differ from measured ones.

Structure:
```
CaZrBr2
1.0
5.4344 0.0000 0.0000
0.0000 3.5572 0.0000
0.0000 0.0000 10.5492
Ca Zr Br
2 2 4
direct
0.0000 0.0000 0.0000
0.0000 0.5000 0.5000
0.5000 0.0000 0.6564
0.5000 0.5000 0.1564
0.0000 0.0000 0.7214
0.0000 0.5000 0.2214
0.5000 0.0000 0.3694
0.5000 0.5000 0.8694
```

Top 10 peaks for 10 to 80 degrees two-theta, sorted by position:
Position (°2θ)  I/Imax
16.81  33
26.44  53
31.23  97
32.96  84
35.91  100
37.92  79
42.74  29
49.54  77
65.60  30
69.97  34